(1)
For Ba3Pr, DFT lattice parameters and positions (PBE) gives the simulated powder X-ray diffraction pattern in this record (λ = 1.5418 Å (Cu Kα)).
No peak broadening, texture or thermal motion is included.

Main lines, by angle (10 to 90 degrees two-theta):
24.06°, 3.699 Å, I 23.3; 26.40°, 3.377 Å, I 24.8; 27.49°, 3.244 Å, I 100.0; 36.01°, 2.494 Å, I 16.3; 42.32°, 2.136 Å, I 20.4; 47.27°, 1.923 Å, I 22.4; 50.57°, 1.805 Å, I 24.2; 51.21°, 1.784 Å, I 17.4; 68.53°, 1.369 Å, I 14.3; 80.94°, 1.188 Å, I 9.1

Atomic structure:
Lattice parameters (Å, degrees): 8.5435 8.5435 6.7530 90.00 90.00 120.00
Element x y z (fractional)
1 Ba 0.1720 0.3439 0.2500
2 Ba 0.1720 0.8280 0.2500
3 Ba 0.3439 0.1720 0.7500
4 Ba 0.6561 0.8280 0.2500
5 Ba 0.8280 0.1720 0.7500
6 Ba 0.8280 0.6561 0.7500
7 Pr 0.3333 0.6667 0.7500
8 Pr 0.6667 0.3333 0.2500


(2)
For K3Rh, DFT lattice parameters and positions (PBE) gives the simulated powder X-ray diffraction pattern in this record (λ = 1.5418 Å (Cu Kα)).
No peak broadening, texture or thermal motion is included.

Main lines, by angle (10 to 90 degrees two-theta):
14.04°, 6.310 Å, I 100.0; 17.88°, 4.961 Å, I 77.2; 18.25°, 4.862 Å, I 41.9; 22.48°, 3.955 Å, I 26.2; 28.29°, 3.155 Å, I 28.3; 31.00°, 2.884 Å, I 47.9; 31.66°, 2.826 Å, I 90.1; 33.22°, 2.697 Å, I 67.6; 34.15°, 2.626 Å, I 53.5; 34.74°, 2.582 Å, I 30.9

Atomic structure:
Lattice parameters (Å, degrees): 5.6596 5.6596 6.3198 92.74 92.74 61.28
Element x y z (fractional)
1 K 0.0000 0.0000 0.0000
2 K 0.3383 0.3383 0.6168
3 K 0.6617 0.6617 0.3832
4 Rh 0.0000 0.0000 0.5000